No. 1
Theoretical powder diffraction line list
Compound: NaAgSb2Se4
Radiation: λ = 1.5418 Å (Cu Kα)
Structure: a PBE-relaxed structure
Intensities are scaled so that the largest is 100.

```
NaAgSb2Se4
1.0
0.000 5.608 4.415
4.181 0.000 4.415
4.181 5.608 0.000
Na Ag Sb Se
1 1 2 4
Direct
0.000 0.000 0.000 Na
0.556 0.556 0.444 Ag
0.270 0.270 0.230 Sb
0.770 0.770 0.730 Sb
0.235 0.707 0.293 Se
0.494 0.998 0.506 Se
0.707 0.235 0.765 Se
0.998 0.494 0.002 Se
```

Largest 6 diffraction maxima, low angle first, 2θ = 5–70°:
| 2theta | I_rel |
| --- | --- |
| 16.60 | 19 |
| 29.42 | 100 |
| 31.92 | 44 |
| 43.28 | 19 |
| 43.96 | 64 |
| 54.78 | 18 |


No. 2
Theoretical powder diffraction line list
Compound: Na2TbAgSb2
Radiation: λ = 1.5418 Å (Cu Kα)
Structure: a PBE-relaxed structure
Intensities are scaled so that the largest is 100.

```
Na2TbAgSb2
1.0
4.535 0.000 0.000
0.000 9.156 0.000
0.000 0.000 7.645
Na Tb Ag Sb
4 2 2 4
Direct
0.000 0.070 0.000 Na
0.000 0.930 0.500 Na
0.500 0.166 0.318 Na
0.500 0.834 0.818 Na
0.500 0.446 0.929 Tb
0.500 0.554 0.429 Tb
0.000 0.318 0.596 Ag
0.000 0.682 0.096 Ag
0.000 0.384 0.214 Sb
0.000 0.616 0.714 Sb
0.500 0.164 0.721 Sb
0.500 0.836 0.221 Sb
```

Largest 6 diffraction maxima, low angle first, 2θ = 5–70°:
| 2theta | I_rel |
| --- | --- |
| 9.66 | 100 |
| 24.81 | 30 |
| 30.10 | 28 |
| 32.15 | 75 |
| 35.45 | 47 |
| 39.75 | 31 |